Record 1
Computed powder diffractogram of Nb3SBr7 for a wavelength of 1.5418 Å, from a DFT-relaxed cell (PBE, the Materials Project).
Lines closer than 0.1° are merged.

The 10 most intense peaks (5° ≤ 2θ ≤ 70°), sorted by position:
2θ/deg	d [Å]	I_rel
12.8	6.935	71
19.1	4.638	15
29.5	3.031	11
31.4	2.845	100
38.8	2.319	55
40.4	2.232	12
49.0	1.857	30
50.7	1.801	24
57.7	1.598	9
60.9	1.522	13

Structural model:
```
11
Lattice="7.204 0.000 0.000 -3.602 6.239 0.000 0.000 0.000 6.935" Properties=species:S:1:pos:R:3 pbc="T T T"
Nb 0.000 2.476 0.000
Nb -1.457 5.001 0.000
Nb 1.457 5.001 0.000
S 0.000 4.159 1.730
Br 0.000 0.000 5.531
Br 1.816 1.048 1.441
Br 3.602 0.011 5.222
Br 1.811 3.114 5.222
Br 5.388 1.048 1.441
Br 3.602 4.142 1.441
Br 5.393 3.114 5.222
```

***

Record 2
Computed powder diffractogram of Zr6Te2Pt for a wavelength of 1.5418 Å, from a DFT-relaxed cell (PBE, the Materials Project).
Lines closer than 0.1° are merged.

The 10 most intense peaks (5° ≤ 2θ ≤ 70°), sorted by position:
2θ/deg	d [Å]	I_rel
22.8	3.901	24
27.0	3.305	15
33.0	2.718	55
35.1	2.553	31
35.6	2.522	100
40.0	2.252	47
42.7	2.118	55
48.0	1.895	21
64.2	1.450	23
65.0	1.435	35

Structural model:
```
9
Lattice="7.801 0.000 0.000 -3.901 6.756 0.000 0.000 0.000 3.790" Properties=species:S:1:pos:R:3 pbc="T T T"
Zr -0.975 1.689 0.000
Zr -2.310 4.001 1.895
Zr 1.950 0.000 0.000
Zr 1.591 2.755 1.895
Zr 4.620 0.000 1.895
Zr 2.925 5.067 0.000
Te 0.000 4.504 0.000
Te 3.901 2.252 0.000
Pt 0.000 0.000 1.895
```